(1)
Theoretical powder X-ray diffraction pattern of Li2Mn3F8 for Cu Kα, 1.54184 Å, from DFT lattice parameters and positions (GGA+U).

Main lines, most intense first (2θ = 10–90°):
Position (°2θ), I (rel.), hkl
19.17, 100, 1 1 1
32.78, 51, 1 2 -3
37.22, 45, 0 2 4
31.12, 38, 1 3 1
42.18, 37, 0 3 4
24.30, 36, 1 2 1
55.65, 30, 2 5 -2
48.43, 26, 0 4 4
60.89, 25, 4 0 0
52.56, 22, 1 3 5
43.70, 19, 2 3 2
60.99, 19, 2 0 6

Structure:
```
data_Li2Mn3F8
_cell_length_a 6.0947
_cell_length_b 10.3690
_cell_length_c 10.9405
_cell_angle_alpha 90.00
_cell_angle_beta 93.66
_cell_angle_gamma 90.00
_space_group_name_H-M_alt 'P 1 21/c 1'
_space_group_IT_number 14
loop_
_space_group_symop_operation_xyz
'x,y,z'
'-x,-y,-z'
'-x,y+1/2,-z+1/2'
'x,-y+1/2,z+1/2'
loop_
_atom_site_label
_atom_site_fract_x
_atom_site_fract_y
_atom_site_fract_z
_atom_site_occupancy
Li1 0.1236 0.0523 0.2920 1
Li2 0.3568 0.6459 0.3785 1
Mn1 0.1140 0.1360 0.9651 1
Mn2 0.3555 0.6279 0.0554 1
Mn3 0.3583 0.1432 0.7152 1
F1 0.1032 0.0111 0.1201 1
F2 0.1371 0.0050 0.6309 1
F3 0.1402 0.2378 0.3100 1
F4 0.1500 0.7376 0.4668 1
F5 0.3613 0.0317 0.8751 1
F6 0.3951 0.2486 0.5459 1
F7 0.3959 0.5166 0.8814 1
F8 0.3959 0.7221 0.2241 1
```


(2)
Theoretical powder X-ray diffraction pattern of ZnNi2O4 for Cu Kα, 1.54184 Å, from DFT lattice parameters and positions (GGA+U).

Main lines, most intense first (2θ = 10–90°):
Position (°2θ), I (rel.), hkl
16.64, 100, 2 0 0
35.89, 94, 1 1 1
33.64, 82, 4 0 0
50.98, 60, 5 1 -4
30.39, 58, 4 0 -3
38.36, 56, 0 0 3
44.56, 51, 5 1 -2
42.31, 48, 3 1 -3
30.09, 45, 2 0 -3
67.12, 38, 1 1 4
62.58, 36, 0 2 0
31.66, 35, 1 1 -1

Structure:
```
data_ZnNi2O4
_cell_length_a 13.9737
_cell_length_b 2.9684
_cell_length_c 9.2307
_cell_angle_alpha 90.00
_cell_angle_beta 130.30
_cell_angle_gamma 90.00
_space_group_name_H-M_alt 'C 1 2/m 1'
_space_group_IT_number 12
loop_
_space_group_symop_operation_xyz
'x,y,z'
'-x,-y,-z'
'-x,y,-z'
'x,-y,z'
'x+1/2,y+1/2,z'
'-x+1/2,-y+1/2,-z'
'-x+1/2,y+1/2,-z'
'x+1/2,-y+1/2,z'
loop_
_atom_site_label
_atom_site_fract_x
_atom_site_fract_y
_atom_site_fract_z
_atom_site_occupancy
Zn1 0.1679 0.0000 0.1778 1
Ni1 0.1386 0.0000 0.4629 1
Ni2 0.1409 0.5000 0.8099 1
O1 0.0306 0.0000 0.7475 1
O2 0.1357 0.5000 0.5924 1
O3 0.1744 0.5000 0.3430 1
O4 0.2068 0.5000 0.0718 1
```


(3)
Theoretical powder X-ray diffraction pattern of Li9Mn2Co5O16 for Cu Kα, 1.54184 Å, from DFT lattice parameters and positions (GGA+U).

Main lines, most intense first (2θ = 10–90°):
Position (°2θ), I (rel.), hkl
18.34, 100, 0 1 1
43.33, 28, 1 2 -2
43.52, 28, -2 1 1
35.93, 27, 2 0 0
44.22, 26, 1 1 5
62.94, 15, 1 -3 1
36.50, 12, 1 0 4
47.63, 9, 1 -2 2
63.30, 7, 3 1 -3
37.84, 7, 1 0 -4
63.49, 7, -1 2 6
64.07, 7, 3 0 4

Structure:
```
data_Li9Mn2Co5O16
_cell_length_a 5.0766
_cell_length_b 5.1437
_cell_length_c 11.1962
_cell_angle_alpha 81.31
_cell_angle_beta 86.31
_cell_angle_gamma 80.30
_space_group_name_H-M_alt 'P 1'
_space_group_IT_number 1
loop_
_space_group_symop_operation_xyz
'x,y,z'
loop_
_atom_site_label
_atom_site_fract_x
_atom_site_fract_y
_atom_site_fract_z
_atom_site_occupancy
Li1 0.0000 0.0000 0.0000 1
Li2 0.0006 0.2492 0.7516 1
Li3 0.0040 0.4994 0.4911 1
Li4 0.0069 0.7559 0.2512 1
Li5 0.2513 0.1862 0.3124 1
Li6 0.4932 0.8779 0.1278 1
Li7 0.4972 0.6284 0.3696 1
Li8 0.5012 0.1256 0.8755 1
Li9 0.5028 0.3718 0.6232 1
Mn1 0.2527 0.9461 0.5554 1
Mn2 0.7524 0.3032 0.1920 1
Co1 0.2510 0.4279 0.0695 1
Co2 0.2534 0.6879 0.8144 1
Co3 0.7525 0.0639 0.4350 1
Co4 0.7519 0.5578 0.9374 1
Co5 0.7527 0.8162 0.6870 1
O1 0.1015 0.1135 0.1546 1
O2 0.1132 0.8573 0.4159 1
O3 0.1244 0.3622 0.9090 1
O4 0.1331 0.6238 0.6567 1
O5 0.3765 0.0172 0.7095 1
O6 0.3758 0.7682 0.9601 1
O7 0.3916 0.5201 0.2075 1
O8 0.3938 0.2486 0.4717 1
O9 0.6158 0.7530 0.5314 1
O10 0.6274 0.2281 0.0380 1
O11 0.6303 0.4830 0.7819 1
O12 0.6436 0.9914 0.2837 1
O13 0.8542 0.3815 0.3415 1
O14 0.8694 0.6271 0.0943 1
O15 0.8708 0.8928 0.8386 1
O16 0.8965 0.1387 0.5843 1
```


(4)
Theoretical powder X-ray diffraction pattern of Li9Mn2Co5O16 for Cu Kα, 1.54184 Å, from DFT lattice parameters and positions (GGA+U).

Main lines, most intense first (2θ = 10–90°):
Position (°2θ), I (rel.), hkl
18.31, 100, 0 0 2
43.74, 54, 2 1 2
43.12, 27, 4 0 -4
36.15, 26, 2 1 0
62.95, 21, 2 1 -6
35.60, 15, 4 0 -2
63.24, 14, 6 1 -2
57.58, 10, 2 1 4
47.66, 9, 2 1 -4
64.24, 7, 0 2 0
37.71, 7, 2 1 -2
80.53, 7, 4 2 -4

Structure:
```
data_Li9Mn2Co5O16
_cell_length_a 10.2353
_cell_length_b 2.8999
_cell_length_c 10.2914
_cell_angle_alpha 90.00
_cell_angle_beta 109.70
_cell_angle_gamma 90.00
_space_group_name_H-M_alt 'P 1 m 1'
_space_group_IT_number 6
loop_
_space_group_symop_operation_xyz
'x,y,z'
'x,-y,z'
loop_
_atom_site_label
_atom_site_fract_x
_atom_site_fract_y
_atom_site_fract_z
_atom_site_occupancy
Li1 0.0000 0.0000 0.0000 1
Li2 0.0015 0.0000 0.5122 1
Li3 0.2526 0.5000 0.9937 1
Li4 0.2553 0.5000 0.5177 1
Li5 0.4994 0.0000 0.5267 1
Li6 0.5038 0.5000 0.7602 1
Li7 0.5068 0.0000 0.9883 1
Li8 0.7429 0.5000 0.9975 1
Li9 0.7528 0.5000 0.5100 1
Mn1 0.2529 0.0000 0.2536 1
Mn2 0.7478 0.0000 0.7610 1
Co1 0.0003 0.5000 0.2549 1
Co2 0.0087 0.5000 0.7558 1
Co3 0.2690 0.0000 0.7489 1
Co4 0.5077 0.5000 0.2578 1
Co5 0.7515 0.0000 0.2603 1
O1 0.1184 0.0000 0.3543 1
O2 0.1182 0.0000 0.8717 1
O3 0.1288 0.5000 0.6395 1
O4 0.1446 0.5000 0.1421 1
O5 0.3590 0.5000 0.3676 1
O6 0.3679 0.0000 0.6323 1
O7 0.3678 0.5000 0.8732 1
O8 0.3743 0.0000 0.1488 1
O9 0.6257 0.0000 0.3767 1
O10 0.6325 0.5000 0.1413 1
O11 0.6403 0.0000 0.8727 1
O12 0.6437 0.5000 0.6465 1
O13 0.8674 0.5000 0.8698 1
O14 0.8719 0.5000 0.3724 1
O15 0.8781 0.0000 0.6493 1
O16 0.8912 0.0000 0.1476 1
```


(5)
Theoretical powder X-ray diffraction pattern of Gd3MoO7 for Cu Kα, 1.54184 Å, from DFT lattice parameters and positions (GGA+U).

Main lines, most intense first (2θ = 10–90°):
Position (°2θ), I (rel.), hkl
28.92, 100, 0 2 2
33.46, 25, 2 2 0
48.17, 24, 2 2 4
57.05, 22, 2 4 2
48.03, 13, 0 4 0
33.63, 11, 0 0 4
57.27, 9, 0 2 6
59.91, 7, 0 4 4
77.92, 5, 2 4 6
26.32, 5, 2 1 0
45.80, 5, 1 1 5
52.72, 5, 4 1 2

Structure:
```
data_Gd3MoO7
_cell_length_a 7.5707
_cell_length_b 7.5793
_cell_length_c 10.6609
_cell_angle_alpha 90.00
_cell_angle_beta 90.00
_cell_angle_gamma 90.00
_space_group_name_H-M_alt 'P 21 21 21'
_space_group_IT_number 19
loop_
_space_group_symop_operation_xyz
'x,y,z'
'-x+1/2,-y,z+1/2'
'x+1/2,-y+1/2,-z'
'-x,y+1/2,-z+1/2'
loop_
_atom_site_label
_atom_site_fract_x
_atom_site_fract_y
_atom_site_fract_z
_atom_site_occupancy
Gd1 0.0280 0.0087 0.2428 1
Gd2 0.1995 0.2539 0.5140 1
Gd3 0.2235 0.2456 0.9671 1
Mo1 0.0028 0.4998 0.7493 1
O1 0.0053 0.2628 0.1190 1
O2 0.0404 0.7465 0.1145 1
O3 0.0894 0.2523 0.7423 1
O4 0.1275 0.5499 0.5997 1
O5 0.1700 0.9641 0.6161 1
O6 0.2119 0.5292 0.8662 1
O7 0.2205 0.9640 0.8677 1
```


(6)
Theoretical powder X-ray diffraction pattern of Ca2PdWO6 for Cu Kα, 1.54184 Å, from DFT lattice parameters and positions (GGA+U).

Main lines, most intense first (2θ = 10–90°):
Position (°2θ), I (rel.), hkl
30.83, 100, 1 2 1
21.46, 78, 1 0 1
21.87, 31, 0 2 0
43.73, 29, 2 0 2
31.76, 25, 2 0 0
29.27, 24, 0 0 2
49.41, 22, 2 2 2
56.00, 19, 3 2 1
44.58, 18, 0 4 0
64.23, 18, 2 4 2
47.52, 17, 1 0 3
49.99, 16, 1 4 1

Structure:
```
data_Ca2PdWO6
_cell_length_a 5.6352
_cell_length_b 8.1292
_cell_length_c 6.1029
_cell_angle_alpha 90.00
_cell_angle_beta 90.00
_cell_angle_gamma 90.00
_space_group_name_H-M_alt 'I m m 2'
_space_group_IT_number 44
loop_
_space_group_symop_operation_xyz
'x,y,z'
'-x,-y,z'
'-x,y,z'
'x,-y,z'
'x+1/2,y+1/2,z+1/2'
'-x+1/2,-y+1/2,z+1/2'
'-x+1/2,y+1/2,z+1/2'
'x+1/2,-y+1/2,z+1/2'
loop_
_atom_site_label
_atom_site_fract_x
_atom_site_fract_y
_atom_site_fract_z
_atom_site_occupancy
Ca1 0.0000 0.2485 0.0000 1
Pd1 0.0000 0.0000 0.5919 1
W1 0.0000 0.5000 0.6012 1
O1 0.0000 0.2625 0.6185 1
O2 0.2228 0.5000 0.8534 1
O3 0.2432 0.0000 0.8958 1
```